Record 1
Starting from DFT lattice parameters and positions (GGA-PBE), the X-ray diffraction stick pattern of Sr4Nb2O9 was simulated for CuKα.
Intensities are scaled so that the largest is 100.

Structure:
```
data_Sr4Nb2O9
_space_group_name_H-M_alt 'P 1'
_space_group_IT_number 1
_cell_length_a 5.877
_cell_length_b 5.882
_cell_length_c 14.678
_cell_angle_alpha 89.61
_cell_angle_beta 89.33
_cell_angle_gamma 60.71
loop_
_space_group_symop_operation_xyz
'x,y,z'
loop_
_atom_site_label
_atom_site_type_symbol
_atom_site_fract_x
_atom_site_fract_y
_atom_site_fract_z
_atom_site_occupancy
Sr1 Sr 0.000 0.000 0.000 1
Sr2 Sr 0.011 0.042 0.735 1
Sr3 Sr 0.284 0.367 0.323 1
Sr4 Sr 0.351 0.324 0.848 1
Sr5 Sr 0.597 0.727 0.454 1
Sr6 Sr 0.643 0.675 0.180 1
Sr7 Sr 0.659 0.703 0.692 1
Sr8 Sr 0.919 0.068 0.489 1
Nb1 Nb 0.320 0.342 0.091 1
Nb2 Nb 0.323 0.330 0.597 1
Nb3 Nb 0.670 0.670 0.926 1
Nb4 Nb 0.981 0.004 0.258 1
O1 O 0.007 0.450 0.013 1
O2 O 0.008 0.640 0.545 1
O3 O 0.098 0.675 0.163 1
O4 O 0.100 0.431 0.712 1
O5 O 0.189 0.137 0.169 1
O6 O 0.270 0.015 0.593 1
O7 O 0.313 0.790 0.318 1
O8 O 0.354 0.868 0.857 1
O9 O 0.453 0.187 0.466 1
O10 O 0.455 0.553 0.022 1
O11 O 0.537 0.016 0.017 1
O12 O 0.588 0.445 0.577 1
O13 O 0.590 0.131 0.700 1
O14 O 0.630 0.227 0.179 1
O15 O 0.774 0.352 0.863 1
O16 O 0.816 0.846 0.324 1
O17 O 0.876 0.789 0.867 1
O18 O 0.878 0.304 0.335 1
```

Top 10 peaks for 10 to 90 degrees two-theta, by angle:
2θ/deg  d/Å  I/Imax  index
29.90  2.989  47  1 1 4
29.96  2.983  46  0 1 -4
30.08  2.970  96  1 0 -4
30.41  2.939  100  1 2 0
42.85  2.110  26  2 0 4
43.00  2.103  27  0 2 4
43.59  2.076  25  2 2 -4
53.55  1.711  18  0 3 0
53.65  1.708  27  2 3 4
62.54  1.485  11  2 -2 0

Record 2
Starting from DFT lattice parameters and positions (GGA-PBE), the X-ray diffraction stick pattern of Sr3TiNb4O15 was simulated for CuKα.
Intensities are scaled so that the largest is 100.

Structure:
```
data_Sr3TiNb4O15
_space_group_name_H-M_alt 'P 1 c 1'
_space_group_IT_number 7
_cell_length_a 4.010
_cell_length_b 12.617
_cell_length_c 12.650
_cell_angle_alpha 90.00
_cell_angle_beta 90.20
_cell_angle_gamma 90.00
loop_
_space_group_symop_operation_xyz
'x,y,z'
'x,-y,z+1/2'
loop_
_atom_site_label
_atom_site_type_symbol
_atom_site_fract_x
_atom_site_fract_y
_atom_site_fract_z
_atom_site_occupancy
Sr1 Sr 0.000 0.103 0.000 1
Sr2 Sr 0.007 0.244 0.699 1
Sr3 Sr 0.991 0.367 0.417 1
Ti1 Ti 0.467 0.162 0.494 1
Nb1 Nb 0.469 0.250 0.205 1
Nb2 Nb 0.488 0.457 0.626 1
Nb3 Nb 0.520 0.035 0.776 1
Nb4 Nb 0.520 0.333 0.914 1
O1 O 0.003 0.045 0.786 1
O2 O 0.004 0.250 0.199 1
O3 O 0.008 0.323 0.898 1
O4 O 0.009 0.449 0.610 1
O5 O 0.019 0.176 0.497 1
O6 O 0.498 0.180 0.841 1
O7 O 0.501 0.091 0.185 1
O8 O 0.503 0.023 0.427 1
O9 O 0.509 0.474 0.970 1
O10 O 0.510 0.119 0.639 1
O11 O 0.510 0.246 0.356 1
O12 O 0.511 0.376 0.755 1
O13 O 0.512 0.318 0.548 1
O14 O 0.517 0.408 0.201 1
O15 O 0.519 0.244 0.039 1
```

Top 10 peaks for 10 to 90 degrees two-theta, by angle:
2θ/deg  d/Å  I/Imax  index
22.18  4.009  23  1 0 0
25.43  3.502  40  0 3 2
27.28  3.269  62  1 2 -1
29.13  3.065  52  0 1 4
31.58  2.833  49  1 1 -3
31.67  2.825  100  0 4 2
33.97  2.639  31  1 2 3
45.23  2.005  39  2 0 0
45.40  1.998  30  0 2 6
56.35  1.633  31  1 5 -5

Record 3
Starting from DFT lattice parameters and positions (GGA-PBE), the X-ray diffraction stick pattern of Sr2YNbO6 was simulated for CuKα.
Intensities are scaled so that the largest is 100.

Structure:
```
data_Sr2YNbO6
_space_group_name_H-M_alt 'P 1 21/c 1'
_space_group_IT_number 14
_cell_length_a 5.858
_cell_length_b 5.963
_cell_length_c 10.172
_cell_angle_alpha 90.00
_cell_angle_beta 124.96
_cell_angle_gamma 90.00
loop_
_space_group_symop_operation_xyz
'x,y,z'
'-x,-y,-z'
'-x,y+1/2,-z+1/2'
'x,-y+1/2,z+1/2'
loop_
_atom_site_label
_atom_site_type_symbol
_atom_site_fract_x
_atom_site_fract_y
_atom_site_fract_z
_atom_site_occupancy
Sr1 Sr 0.241 0.040 0.251 1
Y1 Y 0.500 0.000 0.000 1
Nb1 Nb 0.000 0.000 0.500 1
O1 O 0.146 0.224 0.953 1
O2 O 0.234 0.696 0.957 1
O3 O 0.320 0.027 0.735 1
```

Top 10 peaks for 10 to 90 degrees two-theta, by angle:
2θ/deg  d/Å  I/Imax  index
29.97  2.982  24  0 2 0
30.28  2.951  100  1 1 -3
30.52  2.929  24  2 0 -2
43.30  2.090  28  2 2 -2
43.42  2.084  15  0 0 4
53.41  1.715  17  1 3 -3
53.65  1.708  11  0 2 4
54.04  1.697  16  3 1 -1
54.17  1.693  12  3 1 -5
71.48  1.320  8  1 1 5

Record 4
Starting from DFT lattice parameters and positions (GGA-PBE), the X-ray diffraction stick pattern of Sr2YNbO6 was simulated for CuKα.
Intensities are scaled so that the largest is 100.

Structure:
```
data_Sr2YNbO6
_space_group_name_H-M_alt 'F m -3 m'
_space_group_IT_number 225
_space_group_name_Hall '-F 4 2 3'
_cell_length_a 8.445
_cell_length_b 8.445
_cell_length_c 8.445
_cell_angle_alpha 90.00
_cell_angle_beta 90.00
_cell_angle_gamma 90.00
loop_
_atom_site_label
_atom_site_type_symbol
_atom_site_fract_x
_atom_site_fract_y
_atom_site_fract_z
_atom_site_occupancy
Sr1 Sr 0.250 0.250 0.250 1
Y1 Y 0.000 0.000 0.000 1
Nb1 Nb 0.000 0.000 0.500 1
O1 O 0.000 0.000 0.262 1
```

Top 10 peaks for 10 to 90 degrees two-theta, by angle:
2θ/deg  d/Å  I/Imax  index
21.04  4.222  3  2 0 0
29.93  2.986  100  2 2 0
36.87  2.438  3  2 2 2
42.83  2.111  35  4 0 0
48.19  1.888  1  4 2 0
53.13  1.724  40  4 2 2
62.18  1.493  21  4 4 0
70.53  1.335  18  6 2 0
78.47  1.219  7  4 4 4
86.18  1.128  21  6 4 2

Record 5
Starting from DFT lattice parameters and positions (GGA-PBE), the X-ray diffraction stick pattern of Sr3Nb2ZnO9 was simulated for CuKα.
Intensities are scaled so that the largest is 100.

Structure:
```
data_Sr3Nb2ZnO9
_space_group_name_H-M_alt 'P -3 m 1'
_space_group_IT_number 164
_space_group_name_Hall '-P 3 2"'
_cell_length_a 5.7518
_cell_length_b 5.7518
_cell_length_c 7.0588
_cell_angle_alpha 90.00
_cell_angle_beta 90.00
_cell_angle_gamma 120.00
loop_
_atom_site_label
_atom_site_type_symbol
_atom_site_fract_x
_atom_site_fract_y
_atom_site_fract_z
_atom_site_occupancy
Sr1 Sr 0.0000 0.0000 0.0000 1
Sr2 Sr 0.3333 0.6667 0.6648 1
Nb1 Nb 0.3333 0.6667 0.1796 1
Zn1 Zn 0.0000 0.0000 0.5000 1
O1 O 0.0000 0.5000 0.0000 1
O2 O 0.1697 0.3394 0.3286 1
```

Top 10 peaks for 10 to 90 degrees two-theta, by angle:
2θ/deg  d/Å  I/Imax  index
21.84  4.070  3  1 0 1
31.08  2.878  100  1 1 0
38.31  2.350  4  0 0 3
44.52  2.035  36  2 0 2
55.28  1.662  29  1 2 2
55.33  1.660  10  3 0 0
64.79  1.439  21  2 2 0
73.60  1.287  17  3 1 2
81.88  1.176  2  0 0 6
82.06  1.174  5  0 4 2

Record 6
Starting from DFT lattice parameters and positions (GGA-PBE), the X-ray diffraction stick pattern of Sr3Zr2Nb2O12 was simulated for CuKα.
Intensities are scaled so that the largest is 100.

Structure:
```
data_Sr3Zr2Nb2O12
_space_group_name_H-M_alt 'R -3 m'
_space_group_IT_number 166
_space_group_name_Hall '-R 3 2"'
_cell_length_a 5.8427
_cell_length_b 5.8427
_cell_length_c 28.2100
_cell_angle_alpha 90.00
_cell_angle_beta 90.00
_cell_angle_gamma 120.00
loop_
_atom_site_label
_atom_site_type_symbol
_atom_site_fract_x
_atom_site_fract_y
_atom_site_fract_z
_atom_site_occupancy
Sr1 Sr 0.0000 0.0000 0.0000 1
Sr2 Sr 0.0000 0.0000 0.2487 1
Zr1 Zr 0.0000 0.0000 0.3777 1
Nb1 Nb 0.0000 0.0000 0.1269 1
O1 O 0.0000 0.5000 0.0000 1
O2 O 0.0000 0.5000 0.5000 1
O3 O 0.0199 0.5100 0.7499 1
```

Top 10 peaks for 10 to 90 degrees two-theta, by angle:
2θ/deg  d/Å  I/Imax  index
21.62  4.111  26  1 0 4
30.60  2.921  100  1 1 0
30.91  2.893  96  0 1 8
44.05  2.056  74  2 0 8
54.40  1.687  20  3 0 0
54.59  1.681  39  1 2 8
55.17  1.665  18  1 0 16
63.71  1.461  22  2 2 0
64.41  1.447  21  0 2 16
72.49  1.304  17  3 1 8

Record 7
Starting from DFT lattice parameters and positions (GGA-PBE), the X-ray diffraction stick pattern of TaNbO5 was simulated for CuKα.
Intensities are scaled so that the largest is 100.

Structure:
```
data_TaNbO5
_space_group_name_H-M_alt 'P 1 21/c 1'
_space_group_IT_number 14
_cell_length_a 14.377
_cell_length_b 5.704
_cell_length_c 14.390
_cell_angle_alpha 90.00
_cell_angle_beta 119.72
_cell_angle_gamma 90.00
loop_
_space_group_symop_operation_xyz
'x,y,z'
'-x,-y,-z'
'-x,y+1/2,-z+1/2'
'x,-y+1/2,z+1/2'
loop_
_atom_site_label
_atom_site_type_symbol
_atom_site_fract_x
_atom_site_fract_y
_atom_site_fract_z
_atom_site_occupancy
Ta1 Ta 0.154 0.234 0.093 1
Ta2 Ta 0.346 0.739 0.939 1
Nb1 Nb 0.057 0.742 0.204 1
Nb2 Nb 0.443 0.247 0.146 1
O1 O 0.008 0.028 0.242 1
O2 O 0.073 0.243 0.444 1
O3 O 0.113 0.035 0.654 1
O4 O 0.129 0.553 0.635 1
O5 O 0.199 0.749 0.337 1
O6 O 0.301 0.228 0.638 1
O7 O 0.377 0.529 0.540 1
O8 O 0.380 0.047 0.509 1
O9 O 0.428 0.717 0.372 1
O10 O 0.499 0.524 0.237 1
```

Top 10 peaks for 10 to 90 degrees two-theta, by angle:
2θ/deg  d/Å  I/Imax  index
18.77  4.728  10  1 0 2
21.11  4.209  100  2 1 -2
24.49  3.634  12  1 1 2
24.68  3.607  28  2 0 2
24.77  3.594  20  4 0 -2
31.36  2.852  17  0 2 0
32.69  2.739  24  4 1 0
32.80  2.730  10  4 1 -4
40.36  2.235  13  4 2 -2
50.16  1.819  17  2 2 -6

Record 8
Starting from DFT lattice parameters and positions (GGA-PBE), the X-ray diffraction stick pattern of TaNbO5 was simulated for CuKα.
Intensities are scaled so that the largest is 100.

Structure:
```
data_TaNbO5
_space_group_name_H-M_alt 'P n m a'
_space_group_IT_number 62
_cell_length_a 12.480
_cell_length_b 5.775
_cell_length_c 7.250
_cell_angle_alpha 90.00
_cell_angle_beta 90.00
_cell_angle_gamma 90.00
loop_
_space_group_symop_operation_xyz
'x,y,z'
'-x,-y,-z'
'-x+1/2,-y,z+1/2'
'x+1/2,y,-z+1/2'
'x+1/2,-y+1/2,-z+1/2'
'-x+1/2,y+1/2,z+1/2'
'-x,y+1/2,-z'
'x,-y+1/2,z'
loop_
_atom_site_label
_atom_site_type_symbol
_atom_site_fract_x
_atom_site_fract_y
_atom_site_fract_z
_atom_site_occupancy
Ta1 Ta 0.154 0.250 0.031 1
Nb1 Nb 0.056 0.750 0.350 1
O1 O 0.000 0.000 0.500 1
O2 O 0.075 0.250 0.813 1
O3 O 0.120 0.509 0.168 1
O4 O 0.198 0.750 0.478 1
```

Top 10 peaks for 10 to 90 degrees two-theta, by angle:
2θ/deg  d/Å  I/Imax  index
18.76  4.729  18  2 0 1
20.92  4.246  100  1 1 1
24.33  3.659  11  2 1 1
24.67  3.608  38  3 0 1
29.97  2.981  14  1 1 2
30.97  2.887  16  0 2 0
32.50  2.755  20  2 1 2
32.62  2.745  14  4 1 0
39.98  2.255  20  3 2 1
55.25  1.663  12  5 1 3